Structure and simulated powder diffractogram of Cs2RbNbSe4 (a GGA-PBE-relaxed structure; a wavelength of 1.5418 Å).

Largest 6 diffraction maxima, by angle, 5° ≤ 2θ ≤ 70°:
| Position (°2θ) | intensity | (hkl) |
| --- | --- | --- |
| 12.52 | 100 | 0 0 4 |
| 22.66 | 51 | 0 2 6 |
| 23.92 | 84 | 1 3 3 |
| 25.91 | 58 | 2 2 0 |
| 27.08 | 87 | 1 3 5 |
| 39.22 | 64 | 2 0 10 |

Cell and atoms:
Unit cell a=7.868 b=14.164 c=28.286 alpha=90.00 beta=90.00 gamma=90.00
Space group Fddd (No. 70, origin choice 2)
Unique sites:
Cs 0.125 0.125 0.316 (multiplicity 16)
Rb 0.125 0.125 0.125 (multiplicity 8)
Nb 0.125 0.125 0.625 (multiplicity 8)
Se 0.047 0.273 0.825 (multiplicity 32)

Structure and simulated powder diffractogram of ZrTa3S (a GGA-PBE-relaxed structure; a wavelength of 1.5418 Å).

Largest 6 diffraction maxima, by angle, 5° ≤ 2θ ≤ 70°:
| Position (°2θ) | intensity | (hkl) |
| --- | --- | --- |
| 19.28 | 12 | 1 0 0 |
| 33.71 | 100 | 1 1 1 |
| 39.12 | 62 | 2 0 0 |
| 43.97 | 6 | 2 1 0 |
| 56.53 | 42 | 2 2 0 |
| 67.46 | 41 | 3 1 1 |

Cell and atoms:
Unit cell a=4.605 b=4.605 c=4.605 alpha=90.00 beta=90.00 gamma=90.00
Space group Pm-3m (No. 221)
Unique sites:
Zr 0.000 0.000 0.000 (multiplicity 1)
Ta 0.000 0.500 0.500 (multiplicity 3)
S 0.500 0.500 0.500 (multiplicity 1)